Diffraction record for NdZn8Cu4. The X-ray diffraction stick pattern is calculated, not measured: it uses a cell relaxed with PBE and Cu Ka.
Peak positions follow from Bragg's law for the DFT cell and can differ from measured ones.

```
NdZn8Cu4
1.0
-4.456 4.456 2.479
4.456 -4.456 2.479
4.456 4.456 -2.479
Nd Zn Cu
1 8 4
Direct
0.000 0.000 0.000
0.000 0.350 0.350
0.000 0.650 0.650
0.277 0.500 0.777
0.350 0.000 0.350
0.500 0.277 0.777
0.500 0.723 0.223
0.650 0.000 0.650
0.723 0.500 0.223
0.000 0.000 0.500
0.000 0.500 0.000
0.500 0.000 0.000
0.500 0.500 0.500
```

Main lines, in order of rising 2θ (10° ≤ 2θ ≤ 90°):
2θ (°)	I (rel.)
28.74	21
35.22	48
36.24	17
40.48	65
40.79	100
41.70	67
45.51	18
45.79	13
46.62	41
68.28	21
73.84	24
74.46	22



Diffraction record for NdEr10Tm4. The X-ray diffraction stick pattern is calculated, not measured: it uses a cell relaxed with PBE and Cu Ka.
Peak positions follow from Bragg's law for the DFT cell and can differ from measured ones.

```
NdEr10Tm4
1.0
-6.016 6.016 3.798
6.016 -6.016 3.798
6.016 6.016 -3.798
Nd Er Tm
1 10 4
Direct
0.000 0.000 0.000
0.051 0.354 0.899
0.151 0.051 0.697
0.250 0.750 0.500
0.354 0.455 0.303
0.455 0.151 0.101
0.545 0.849 0.899
0.646 0.545 0.697
0.750 0.250 0.500
0.849 0.949 0.303
0.949 0.646 0.101
0.199 0.401 0.600
0.401 0.801 0.201
0.599 0.199 0.799
0.801 0.599 0.400
```

Main lines, in order of rising 2θ (10° ≤ 2θ ≤ 90°):
2θ (°)	I (rel.)
20.23	25
23.40	14
33.33	100
39.29	14
41.12	4
47.85	18
52.45	6
53.92	6
59.56	38
69.98	12
79.71	11
79.86	5



Diffraction record for Tl2In6BiPb3. The X-ray diffraction stick pattern is calculated, not measured: it uses a cell relaxed with PBE and Cu Ka.
Peak positions follow from Bragg's law for the DFT cell and can differ from measured ones.

```
Tl2In6BiPb3
1.0
4.193 0.000 0.000
0.000 4.193 0.000
0.000 0.000 23.081
Tl In Bi Pb
2 6 1 3
Direct
0.000 0.000 0.192
0.000 0.000 0.808
0.000 0.500 0.389
0.000 0.500 0.611
0.500 0.000 0.389
0.500 0.000 0.611
0.500 0.500 0.129
0.500 0.500 0.871
0.000 0.000 0.500
0.500 0.500 0.000
0.500 0.500 0.275
0.500 0.500 0.725
```

Main lines, in order of rising 2θ (10° ≤ 2θ ≤ 90°):
2θ (°)	I (rel.)
21.54	31
24.17	100
30.14	48
30.40	35
32.36	28
34.00	72
34.61	97
37.85	30
43.15	71
50.07	33
56.46	49
62.67	25



Diffraction record for Na2LiMgI5. The X-ray diffraction stick pattern is calculated, not measured: it uses a cell relaxed with PBE and Cu Ka.
Peak positions follow from Bragg's law for the DFT cell and can differ from measured ones.

```
Na2LiMgI5
1.0
2.206 -11.765 0.000
2.206 11.765 0.000
0.000 0.000 13.907
Na Li Mg I
4 2 2 10
Direct
0.136 0.864 0.500
0.175 0.825 0.830
0.825 0.175 0.330
0.864 0.136 0.000
0.200 0.800 0.212
0.800 0.200 0.712
0.443 0.557 0.584
0.557 0.443 0.084
0.057 0.943 0.206
0.307 0.693 0.838
0.317 0.683 0.162
0.337 0.663 0.499
0.467 0.533 0.965
0.533 0.467 0.465
0.663 0.337 0.999
0.683 0.317 0.662
0.693 0.307 0.338
0.943 0.057 0.706
```

Main lines, in order of rising 2θ (10° ≤ 2θ ≤ 90°):
2θ (°)	I (rel.)
16.36	32
23.13	31
24.19	55
24.45	100
27.72	38
28.18	95
28.47	26
30.39	24
33.91	33
38.87	43
40.92	27
48.24	32



Diffraction record for Ca2ZrTiGe2O10. The X-ray diffraction stick pattern is calculated, not measured: it uses a cell relaxed with PBE and Cu Ka.
Peak positions follow from Bragg's law for the DFT cell and can differ from measured ones.

```
Ca2ZrTiGe2O10
1.0
5.544 0.000 0.000
-1.684 5.538 0.000
-1.540 -2.460 6.829
Ca Zr Ti Ge O
2 1 1 2 10
Direct
0.166 0.322 0.295
0.834 0.678 0.705
0.500 0.000 0.000
0.500 0.000 0.500
0.175 0.313 0.745
0.825 0.687 0.255
0.120 0.768 0.450
0.182 0.115 0.889
0.214 0.624 0.888
0.408 0.058 0.261
0.421 0.323 0.622
0.579 0.677 0.378
0.592 0.942 0.739
0.786 0.376 0.112
0.818 0.885 0.111
0.880 0.232 0.550
```

Main lines, in order of rising 2θ (10° ≤ 2θ ≤ 90°):
2θ (°)	I (rel.)
18.38	31
23.27	18
24.76	19
25.90	39
26.68	61
28.75	85
32.43	100
33.14	23
33.32	41
42.98	21
54.50	19
57.55	17



Diffraction record for NaLiSc2O4. The X-ray diffraction stick pattern is calculated, not measured: it uses a cell relaxed with PBE and Cu Ka.
Peak positions follow from Bragg's law for the DFT cell and can differ from measured ones.

```
NaLiSc2O4
1.0
1.596 -5.250 0.000
1.596 5.250 0.000
0.000 0.000 10.959
Na Li Sc O
2 2 4 8
Direct
0.094 0.906 0.750
0.906 0.094 0.250
0.176 0.824 0.250
0.824 0.176 0.750
0.366 0.634 0.560
0.366 0.634 0.940
0.634 0.366 0.060
0.634 0.366 0.440
0.000 0.000 0.000
0.000 0.000 0.500
0.258 0.742 0.102
0.258 0.742 0.398
0.420 0.580 0.750
0.580 0.420 0.250
0.742 0.258 0.602
0.742 0.258 0.898
```

Main lines, in order of rising 2θ (10° ≤ 2θ ≤ 90°):
2θ (°)	I (rel.)
16.18	77
18.74	39
29.80	100
37.01	28
38.16	52
39.07	88
41.69	76
44.81	29
51.31	39
57.39	30
57.77	31
58.35	49



Diffraction record for Fe3Ni3Pt. The X-ray diffraction stick pattern is calculated, not measured: it uses a cell relaxed with PBE and Cu Ka.
Peak positions follow from Bragg's law for the DFT cell and can differ from measured ones.

```
Fe3Ni3Pt
1.0
8.978 0.000 0.000
0.000 4.030 0.000
0.000 0.000 9.933
Fe Ni Pt
12 12 4
Direct
0.103 0.250 0.074
0.125 0.250 0.577
0.203 0.750 0.869
0.297 0.250 0.369
0.375 0.750 0.077
0.397 0.750 0.574
0.603 0.250 0.426
0.625 0.250 0.923
0.703 0.750 0.631
0.797 0.250 0.131
0.875 0.750 0.423
0.897 0.750 0.926
0.074 0.250 0.835
0.158 0.750 0.452
0.177 0.750 0.216
0.323 0.250 0.716
0.342 0.250 0.952
0.426 0.750 0.335
0.574 0.250 0.665
0.658 0.750 0.048
0.677 0.750 0.284
0.823 0.250 0.784
0.842 0.250 0.548
0.926 0.750 0.165
0.015 0.250 0.322
0.485 0.750 0.822
0.515 0.250 0.178
0.985 0.750 0.678
```

Main lines, in order of rising 2θ (10° ≤ 2θ ≤ 90°):
2θ (°)	I (rel.)
13.29	29
19.78	23
30.24	22
31.16	45
40.63	41
41.76	59
44.00	100
44.99	54
46.30	34
47.25	31
47.57	16
62.22	20



Diffraction record for MgCd5. The X-ray diffraction stick pattern is calculated, not measured: it uses a cell relaxed with PBE and Cu Ka.
Peak positions follow from Bragg's law for the DFT cell and can differ from measured ones.

```
MgCd5
1.0
5.214 0.000 0.000
0.000 9.878 0.000
-1.944 0.000 5.215
Mg Cd
2 10
Direct
0.000 0.000 0.000
0.500 0.500 0.000
0.000 0.165 0.500
0.000 0.332 0.000
0.000 0.500 0.500
0.000 0.668 0.000
0.000 0.835 0.500
0.500 0.000 0.500
0.500 0.168 0.000
0.500 0.335 0.500
0.500 0.665 0.500
0.500 0.832 0.000
```

Main lines, in order of rising 2θ (10° ≤ 2θ ≤ 90°):
2θ (°)	I (rel.)
33.96	100
34.39	48
36.79	40
40.16	62
40.86	30
55.85	12
56.98	21
60.26	27
67.26	13
68.76	18
69.54	12
72.50	16



Diffraction record for Rb2SnAsF6. The X-ray diffraction stick pattern is calculated, not measured: it uses a cell relaxed with PBE and Cu Ka.
Peak positions follow from Bragg's law for the DFT cell and can differ from measured ones.

```
Rb2SnAsF6
1.0
-3.151 3.151 5.355
3.151 -3.151 5.355
3.151 3.151 -5.355
Rb Sn As F
2 1 1 6
Direct
0.250 0.750 0.500
0.750 0.250 0.500
0.000 0.000 0.000
0.500 0.500 0.000
0.214 0.214 0.000
0.268 0.268 0.536
0.268 0.732 0.000
0.732 0.268 0.000
0.732 0.732 0.464
0.786 0.786 0.000
```

Main lines, in order of rising 2θ (10° ≤ 2θ ≤ 90°):
2θ (°)	I (rel.)
26.01	100
28.32	40
33.47	26
40.48	32
44.40	22
48.75	36
53.50	25
55.45	14
58.59	10
69.18	11
70.87	14
76.37	10



Diffraction record for HoHfIrO6. The X-ray diffraction stick pattern is calculated, not measured: it uses a cell relaxed with PBE and Cu Ka.
Peak positions follow from Bragg's law for the DFT cell and can differ from measured ones.

```
HoHfIrO6
1.0
5.283 0.000 0.000
-2.642 4.576 0.000
0.000 0.000 9.794
Ho Hf Ir O
2 2 2 12
Direct
0.000 0.000 0.000
0.000 0.000 0.500
0.333 0.667 0.250
0.667 0.333 0.750
0.333 0.667 0.750
0.667 0.333 0.250
0.014 0.357 0.637
0.014 0.656 0.863
0.344 0.357 0.863
0.344 0.986 0.637
0.357 0.014 0.137
0.357 0.344 0.363
0.643 0.656 0.637
0.643 0.986 0.863
0.656 0.014 0.363
0.656 0.643 0.137
0.986 0.344 0.137
0.986 0.643 0.363
```

Main lines, in order of rising 2θ (10° ≤ 2θ ≤ 90°):
2θ (°)	I (rel.)
18.11	17
26.66	100
33.93	51
36.70	11
38.73	14
43.67	26
50.85	47
56.42	26
60.19	10
60.72	15
73.10	11
83.08	11



Diffraction record for KSmSc4Se8. The X-ray diffraction stick pattern is calculated, not measured: it uses a cell relaxed with PBE and Cu Ka.
Peak positions follow from Bragg's law for the DFT cell and can differ from measured ones.

```
KSmSc4Se8
1.0
4.072 2.351 7.013
-4.072 2.351 7.013
0.000 -4.702 7.013
K Sm Sc Se
1 1 4 8
Direct
0.000 0.000 0.000
0.641 0.641 0.641
0.120 0.640 0.640
0.263 0.263 0.263
0.640 0.120 0.640
0.640 0.640 0.120
0.386 0.386 0.872
0.386 0.872 0.386
0.393 0.393 0.393
0.430 0.883 0.883
0.864 0.864 0.864
0.872 0.386 0.386
0.883 0.430 0.883
0.883 0.883 0.430
```

Main lines, in order of rising 2θ (10° ≤ 2θ ≤ 90°):
2θ (°)	I (rel.)
13.24	37
21.83	14
24.64	14
25.29	30
26.66	26
30.52	100
40.04	17
42.90	47
44.50	51
54.92	17
63.53	13
73.27	13



Diffraction record for K3Cu2AgCl6. The X-ray diffraction stick pattern is calculated, not measured: it uses a cell relaxed with PBE and Cu Ka.
Peak positions follow from Bragg's law for the DFT cell and can differ from measured ones.

```
K3Cu2AgCl6
1.0
7.492 0.000 0.000
-3.746 6.488 0.000
0.000 0.000 8.119
K Cu Ag Cl
3 2 1 6
Direct
0.000 0.000 0.000
0.333 0.667 0.666
0.667 0.333 0.334
0.333 0.667 0.264
0.667 0.333 0.736
0.000 0.000 0.500
0.163 0.327 0.281
0.163 0.837 0.281
0.327 0.163 0.719
0.673 0.837 0.281
0.837 0.163 0.719
0.837 0.673 0.719
```

Main lines, in order of rising 2θ (10° ≤ 2θ ≤ 90°):
2θ (°)	I (rel.)
10.90	62
13.65	31
17.50	75
21.89	25
23.75	100
25.89	74
35.42	98
35.95	29
38.34	23
43.09	41
48.61	49
50.20	23



Question: What is the formula in the third record?
Answer: Tl2In6BiPb3